[1]
Structure and simulated powder diffraction line list of KZrP2HO8 (a PBE-relaxed structure; copper Kα).

The 8 most intense peaks (10 to 90 degrees two-theta), low angle first:
hkl 0 0 2, 2θ 11.83, d = 7.481 Å, rel. 379; hkl 1 1 -1, 2θ 19.26, d = 4.609 Å, rel. 352; hkl 2 0 0, 2θ 21.28, d = 4.175 Å, rel. 389; hkl 1 1 -3, 2θ 23.43, d = 3.797 Å, rel. 1000; hkl 2 1 -2, 2θ 25.71, d = 3.465 Å, rel. 168; hkl 2 0 2, 2θ 28.53, d = 3.129 Å, rel. 304; hkl 1 1 -5, 2θ 31.94, d = 2.802 Å, rel. 181; hkl 3 1 -3, 2θ 33.99, d = 2.638 Å, rel. 213

Crystal structure
a = 9.2021 Å, b = 5.3463 Å, c = 16.4890 Å
α = 90.00°, β = 114.86°, γ = 90.00°
Space group P2/c (No. 13)
Inequivalent atoms, fractional coordinates:
K 0.0000 0.0446 0.2500 x2
K 0.5000 0.0548 0.7500 x2
Zr 0.2510 0.2217 0.4988 x4
P 0.1688 0.2750 0.1159 x4
P 0.3303 0.2806 0.8826 x4
H 0.2520 0.4944 0.2476 x4
O 0.0102 0.2397 0.4073 x4
O 0.1964 0.4931 0.5700 x4
O 0.2324 0.0400 0.0883 x4
O 0.2438 0.2948 0.7797 x4
O 0.2554 0.0678 0.9150 x4
O 0.2612 0.3006 0.2191 x4
O 0.3129 0.4697 0.4236 x4
O 0.4911 0.2211 0.5898 x4



[2]
Structure and simulated powder diffraction line list of K2H6PdO6 (a PBE-relaxed structure; copper Kα).

The 8 most intense peaks (10 to 90 degrees two-theta), low angle first:
hkl 1 0 1, 2θ 17.58, d = 5.046 Å, rel. 975; hkl 0 0 3, 2θ 21.60, d = 4.113 Å, rel. 559; hkl 1 1 0, 2θ 27.95, d = 3.193 Å, rel. 688; hkl 1 0 4, 2θ 33.25, d = 2.695 Å, rel. 423; hkl 1 1 3, 2θ 35.60, d = 2.522 Å, rel. 1000; hkl 0 2 4, 2θ 43.98, d = 2.059 Å, rel. 498; hkl 2 1 4, 2θ 52.95, d = 1.729 Å, rel. 354; hkl 0 3 3, 2θ 54.56, d = 1.682 Å, rel. 230

Crystal structure
a = 6.3855 Å, b = 6.3855 Å, c = 12.3327 Å
α = 90.00°, β = 90.00°, γ = 120.00°
Space group R-3 (No. 148, hexagonal axes)
Inequivalent atoms, fractional coordinates:
K 0.0000 0.0000 0.2109 x6
H 0.0145 0.4357 0.3044 x18
Pd 0.0000 0.0000 0.5000 x3
O 0.0410 0.5795 0.2619 x18